This entry pairs a crystal structure of CeVO4 with its calculated powder X-ray diffraction pattern. Radiation: copper Kα. Structure: a DFT-relaxed cell (PBE+U, the Materials Project).
Lines closer than 0.1° are merged.

Top 12 peaks for 2θ from 15° to 90°, low angle first:
| 2theta | I (rel.) | h k l |
| --- | --- | --- |
| 20.23 | 27 | 1 1 0 |
| 24.57 | 22 | 0 2 0 |
| 26.07 | 59 | 0 0 2 |
| 27.84 | 100 | 0 2 1 |
| 29.78 | 24 | 2 1 -1 |
| 30.22 | 63 | 2 1 -2 |
| 32.48 | 25 | 2 0 0 |
| 40.20 | 30 | 3 0 -2 |
| 45.28 | 34 | 2 1 -4 |
| 46.58 | 29 | 2 3 -1 |
| 49.06 | 30 | 2 2 1 |
| 51.04 | 24 | 2 3 -3 |

Structure:
a b c (Å): 6.7329 7.2567 8.3482
angles (deg): 90.00 125.04 90.00
Space group P2_1/c (No. 14)
Asymmetric unit:
Ce1 0.1855 0.1533 0.2834 (multiplicity 4)
V1 0.3097 0.6634 0.1993 (multiplicity 4)
O1 0.1039 0.6544 0.6113 (multiplicity 4)
O2 0.1707 0.0077 0.7537 (multiplicity 4)
O3 0.3469 0.6045 0.0161 (multiplicity 4)
O4 0.3880 0.2198 0.1183 (multiplicity 4)


This entry pairs a crystal structure of ZnMo4O9 with its calculated powder X-ray diffraction pattern. Radiation: copper Kα. Structure: a DFT-relaxed cell (PBE+U, the Materials Project).
Lines closer than 0.1° are merged.

Top 12 peaks for 2θ from 15° to 90°, low angle first:
| 2theta | I (rel.) | h k l |
| --- | --- | --- |
| 17.79 | 17 | 0 0 1 |
| 22.85 | 17 | 1 1 1 |
| 27.02 | 11 | 2 0 1 |
| 28.89 | 100 | 2 1 1 |
| 32.14 | 47 | 1 3 0 |
| 37.49 | 10 | 1 0 2 |
| 42.93 | 23 | 2 1 2 |
| 46.10 | 27 | 4 2 0 |
| 55.32 | 33 | 5 0 1 |
| 64.81 | 12 | 5 0 2 |
| 65.39 | 16 | 1 3 3 |
| 74.77 | 10 | 6 3 1 |

Structure:
a b c (Å): 8.8057 8.8057 4.9864
angles (deg): 90.00 90.00 90.00
Space group P4/n (No. 85, origin choice 2)
Asymmetric unit:
Zn1 0.2500 0.2500 0.1001 (multiplicity 2)
Mo1 0.0393 0.6530 0.3391 (multiplicity 8)
O1 0.0240 0.2997 0.0006 (multiplicity 8)
O2 0.0429 0.1398 0.4940 (multiplicity 8)
O3 0.2500 0.7500 0.5000 (multiplicity 2)